# Li2LuSiO5
Simulated powder diffraction line list, copper Kα. Input: a structure optimized by DFT (PBE).
Kinematic intensities with the Lorentz-polarization factor, no thermal factor.

Structure:
Cell lengths 5.2610, 5.4371, 8.3635 Å; angles 106.24, 100.56, 102.27 degrees
Space group P-1 (No. 2)
Asymmetric unit:
1 Li 0.0374 0.2590 0.4559 [2 per cell]
2 Li 0.1992 0.1668 0.9840 [2 per cell]
3 Lu 0.3858 0.7685 0.2580 [2 per cell]
4 Si 0.2231 0.6880 0.8254 [2 per cell]
5 O 0.0331 0.5434 0.3229 [2 per cell]
6 O 0.1561 0.7855 0.0150 [2 per cell]
7 O 0.2576 0.9549 0.7640 [2 per cell]
8 O 0.3656 0.1158 0.4694 [2 per cell]
9 O 0.4916 0.5824 0.8405 [2 per cell]

Principal peaks in the range 2θ from 10° to 90°, low angle first:
5.040 Å, 2θ 17.6, I 100, hkl 0 1 -1; 4.966 Å, 2θ 17.9, I 64, hkl 1 0 0; 4.156 Å, 2θ 21.4, I 87, hkl 1 -1 0; 3.878 Å, 2θ 22.9, I 81, hkl 0 0 2; 3.758 Å, 2θ 23.7, I 40, hkl 1 -1 1; 3.353 Å, 2θ 26.6, I 56, hkl 1 1 -1



# Sm2SiTeO4
Simulated powder diffraction line list, copper Kα. Input: a structure optimized by DFT (PBE).
Kinematic intensities with the Lorentz-polarization factor, no thermal factor.

Structure:
Cell lengths 6.2839, 7.1766, 11.2176 Å; angles 90.00, 90.00, 90.00 degrees
Space group Pbcm (No. 57)
Asymmetric unit:
1 Sm 0.1119 0.2500 0.0000 [4 per cell]
2 Sm 0.3875 0.5367 0.2500 [4 per cell]
3 Si 0.3857 0.7500 0.0000 [4 per cell]
4 Te 0.0953 0.5844 0.7500 [4 per cell]
5 O 0.2286 0.5749 0.0353 [8 per cell]
6 O 0.4501 0.2328 0.6162 [8 per cell]

Principal peaks in the range 2θ from 10° to 90°, low angle first:
3.615 Å, 2θ 24.6, I 36, hkl 1 1 2; 3.023 Å, 2θ 29.6, I 100, hkl 0 2 2; 2.804 Å, 2θ 31.9, I 62, hkl 0 0 4; 2.788 Å, 2θ 32.1, I 74, hkl 2 1 1; 2.561 Å, 2θ 35.0, I 44, hkl 2 1 2; 2.281 Å, 2θ 39.5, I 43, hkl 2 1 3



# CeTl3
Simulated powder diffraction line list, copper Kα. Input: a structure optimized by DFT (PBE).
Kinematic intensities with the Lorentz-polarization factor, no thermal factor.

Structure:
Cell lengths 4.8261, 4.8261, 4.8261 Å; angles 90.00, 90.00, 90.00 degrees
Space group Pm-3m (No. 221)
Asymmetric unit:
1 Ce 0.0000 0.0000 0.0000 [1 per cell]
2 Tl 0.0000 0.5000 0.5000 [3 per cell]

Principal peaks in the range 2θ from 10° to 90°, low angle first:
2.786 Å, 2θ 32.1, I 100, hkl 1 1 1; 2.413 Å, 2θ 37.3, I 51, hkl 2 0 0; 1.706 Å, 2θ 53.7, I 36, hkl 2 2 0; 1.455 Å, 2θ 64.0, I 43, hkl 3 1 1; 1.393 Å, 2θ 67.2, I 12, hkl 2 2 2; 1.107 Å, 2θ 88.3, I 18, hkl 3 3 1



# Rb2CoS2
Simulated powder diffraction line list, copper Kα. Input: a structure optimized by DFT (PBE).
Kinematic intensities with the Lorentz-polarization factor, no thermal factor.

Structure:
Cell lengths 7.0578, 13.2497, 6.0937 Å; angles 90.00, 90.00, 90.00 degrees
Space group Ibam (No. 72)
Asymmetric unit:
1 Rb 0.1654 0.1470 0.0000 [8 per cell]
2 Co 0.0000 0.5000 0.2500 [4 per cell]
3 S 0.1724 0.4051 0.0000 [8 per cell]

Principal peaks in the range 2θ from 10° to 90°, low angle first:
3.785 Å, 2θ 23.5, I 60, hkl 1 2 1; 3.744 Å, 2θ 23.8, I 74, hkl 1 3 0; 3.047 Å, 2θ 29.3, I 37, hkl 0 0 2; 2.976 Å, 2θ 30.0, I 100, hkl 2 1 1; 2.690 Å, 2θ 33.3, I 46, hkl 1 4 1; 2.242 Å, 2θ 40.2, I 63, hkl 0 4 2



# Mg16Al12Sn
Simulated powder diffraction line list, copper Kα. Input: a structure optimized by DFT (PBE).
Kinematic intensities with the Lorentz-polarization factor, no thermal factor.

Structure:
Cell lengths 10.5232, 14.8337, 9.1013 Å; angles 90.00, 124.42, 90.00 degrees
Space group Cm (No. 8)
Asymmetric unit:
1 Mg 0.0000 0.0000 0.0000 [2 per cell]
2 Mg 0.0013 0.0000 0.3444 [2 per cell]
3 Mg 0.0579 0.3442 0.3992 [4 per cell]
4 Mg 0.1544 0.1592 0.5993 [4 per cell]
5 Mg 0.1592 0.5000 0.6645 [2 per cell]
6 Mg 0.1715 0.1753 0.9936 [4 per cell]
7 Mg 0.1871 0.5000 0.2883 [2 per cell]
8 Mg 0.3001 0.2988 0.3163 [4 per cell]
9 Mg 0.4620 0.1406 0.0017 [4 per cell]
10 Mg 0.4841 0.1962 0.6823 [4 per cell]
11 Al 0.0047 0.1851 0.1870 [4 per cell]
12 Al 0.1763 0.0000 0.8185 [2 per cell]
13 Al 0.2311 0.4083 0.0072 [4 per cell]
14 Al 0.2708 0.0946 0.3538 [4 per cell]
15 Al 0.3182 0.3154 0.8173 [4 per cell]
16 Al 0.3673 0.0000 0.1754 [2 per cell]
17 Al 0.4056 0.4074 0.6325 [4 per cell]
18 Sn 0.3833 0.0000 0.7004 [2 per cell]

Principal peaks in the range 2θ from 10° to 90°, low angle first:
7.413 Å, 2θ 11.9, I 42, hkl 0 2 0; 2.500 Å, 2θ 35.9, I 100, hkl 0 0 3; 2.485 Å, 2θ 36.1, I 61, hkl 1 5 1; 2.477 Å, 2θ 36.3, I 87, hkl 4 2 -2; 2.471 Å, 2θ 36.4, I 71, hkl 3 3 -3; 2.237 Å, 2θ 40.3, I 51, hkl 3 5 -2



# Mg6CrW
Simulated powder diffraction line list, copper Kα. Input: a structure optimized by DFT (PBE).
Kinematic intensities with the Lorentz-polarization factor, no thermal factor.

Structure:
Cell lengths 4.9262, 5.8604, 10.7918 Å; angles 90.00, 90.00, 90.00 degrees
Space group Amm2 (No. 38)
Asymmetric unit:
1 Mg 0.0000 0.0000 0.0000 [2 per cell]
2 Mg 0.0000 0.0000 0.4995 [2 per cell]
3 Mg 0.0000 0.2434 0.2639 [4 per cell]
4 Mg 0.5000 0.2503 0.0989 [4 per cell]
5 Cr 0.5000 0.0000 0.8463 [2 per cell]
6 W 0.5000 0.0000 0.3507 [2 per cell]

Principal peaks in the range 2θ from 10° to 90°, low angle first:
5.396 Å, 2θ 16.4, I 70, hkl 0 0 2; 5.150 Å, 2θ 17.2, I 55, hkl 0 1 1; 4.926 Å, 2θ 18.0, I 52, hkl 1 0 0; 3.638 Å, 2θ 24.5, I 46, hkl 1 0 2; 2.366 Å, 2θ 38.0, I 64, hkl 1 0 4; 2.282 Å, 2θ 39.5, I 100, hkl 1 2 2